# 1
Diffraction record for NdH4IrPd2. The XRD peak list is theoretical, not measured: it uses a crystal structure in Alexandria, relaxed with PBE and a wavelength of 1.5418 Å.

Crystal structure
```
data_NdH4IrPd2
_cell_length_a 4.548
_cell_length_b 4.554
_cell_length_c 5.274
_cell_angle_alpha 114.02
_cell_angle_beta 114.33
_cell_angle_gamma 92.85
_space_group_name_H-M_alt 'P 1'
_space_group_IT_number 1
loop_
_space_group_symop_operation_xyz
'x,y,z'
loop_
_atom_site_label
_atom_site_fract_x
_atom_site_fract_y
_atom_site_fract_z
Nd1 0.000 0.000 0.000
H1 0.132 0.549 0.101
H2 0.447 0.463 0.597
H3 0.448 0.030 0.898
H4 0.871 0.857 0.404
Ir1 0.257 0.756 0.500
Pd1 0.500 0.499 0.001
Pd2 0.753 0.255 0.500
```

Peak list (10 most intense, 10 to 90 degrees two-theta, by angle)
4.007 Å, 22.19°, rel. 16; 2.609 Å, 34.37°, rel. 54; 2.597 Å, 34.53°, rel. 54; 2.522 Å, 35.60°, rel. 100; 2.273 Å, 39.66°, rel. 75; 2.121 Å, 42.63°, rel. 31; 1.553 Å, 59.52°, rel. 23; 1.548 Å, 59.73°, rel. 22; 1.382 Å, 67.83°, rel. 15; 1.343 Å, 70.07°, rel. 21

---

# 2
Diffraction record for Nd2H6IrRh. The XRD peak list is theoretical, not measured: it uses a crystal structure in Alexandria, relaxed with PBE and a wavelength of 1.5418 Å.

Crystal structure
```
data_Nd2H6IrRh
_cell_length_a 7.462
_cell_length_b 7.506
_cell_length_c 7.535
_cell_angle_alpha 90.00
_cell_angle_beta 90.00
_cell_angle_gamma 90.00
_space_group_name_H-M_alt 'F m m m'
_space_group_IT_number 69
_space_group_name_Hall '-F 2 2'
loop_
_atom_site_label
_atom_site_fract_x
_atom_site_fract_y
_atom_site_fract_z
Nd1 0.250 0.250 0.250
H1 0.000 0.000 0.243
H2 0.000 0.244 0.000
H3 0.244 0.000 0.000
Ir1 0.000 0.000 0.000
Rh1 0.000 0.000 0.500
```

Peak list (10 most intense, 10 to 90 degrees two-theta, by angle)
2.659 Å, 33.71°, rel. 51; 2.648 Å, 33.85°, rel. 100; 1.884 Å, 48.32°, rel. 10; 1.877 Å, 48.51°, rel. 9; 1.865 Å, 48.82°, rel. 9; 1.535 Å, 60.32°, rel. 19; 1.532 Å, 60.44°, rel. 19; 1.527 Å, 60.64°, rel. 19; 1.191 Å, 80.71°, rel. 8; 1.187 Å, 81.03°, rel. 8

---

# 3
Diffraction record for NdSnH8Ir2. The XRD peak list is theoretical, not measured: it uses a crystal structure in Alexandria, relaxed with PBE and a wavelength of 1.5418 Å.

Crystal structure
```
data_NdSnH8Ir2
_cell_length_a 4.8944
_cell_length_b 4.8944
_cell_length_c 18.0101
_cell_angle_alpha 90.00
_cell_angle_beta 90.00
_cell_angle_gamma 120.00
_space_group_name_H-M_alt 'R -3'
_space_group_IT_number 148
_space_group_name_Hall '-R 3'
loop_
_atom_site_label
_atom_site_fract_x
_atom_site_fract_y
_atom_site_fract_z
Nd1 0.0000 0.0000 0.0000
Sn1 0.0000 0.0000 0.5000
H1 0.0000 0.0000 0.3204
H2 0.0547 0.5292 0.5572
Ir1 0.0000 0.0000 0.2307
```

Peak list (10 most intense, 10 to 90 degrees two-theta, by angle)
3.086 Å, 28.93°, rel. 100; 2.745 Å, 32.62°, rel. 11; 2.447 Å, 36.72°, rel. 62; 1.988 Å, 45.63°, rel. 19; 1.918 Å, 47.41°, rel. 27; 1.549 Å, 59.69°, rel. 9; 1.509 Å, 61.43°, rel. 25; 1.413 Å, 66.14°, rel. 11; 1.305 Å, 72.40°, rel. 10; 1.137 Å, 85.34°, rel. 10

---

# 4
Diffraction record for NdZnH8Ir2. The XRD peak list is theoretical, not measured: it uses a crystal structure in Alexandria, relaxed with PBE and a wavelength of 1.5418 Å.

Crystal structure
```
data_NdZnH8Ir2
_cell_length_a 4.6899
_cell_length_b 4.6899
_cell_length_c 16.3864
_cell_angle_alpha 90.00
_cell_angle_beta 90.00
_cell_angle_gamma 120.00
_space_group_name_H-M_alt 'R -3 m'
_space_group_IT_number 166
_space_group_name_Hall '-R 3 2"'
loop_
_atom_site_label
_atom_site_fract_x
_atom_site_fract_y
_atom_site_fract_z
Nd1 0.0000 0.0000 0.0000
Zn1 0.0000 0.0000 0.5000
H1 0.0000 0.0000 0.3172
H2 0.0402 0.5201 0.0770
Ir1 0.0000 0.0000 0.2175
```

Peak list (10 most intense, 10 to 90 degrees two-theta, by angle)
3.942 Å, 22.55°, rel. 20; 2.884 Å, 31.01°, rel. 100; 2.551 Å, 35.19°, rel. 50; 2.345 Å, 38.39°, rel. 89; 2.028 Å, 44.68°, rel. 15; 1.820 Å, 50.13°, rel. 34; 1.726 Å, 53.05°, rel. 15; 1.438 Å, 64.85°, rel. 46; 1.390 Å, 67.36°, rel. 15; 1.354 Å, 69.42°, rel. 16